Structure and computed PXRD pattern of ScAlN2 (a GGA-PBE-relaxed structure; Cu Kα (λ = 1.5418 Å)).
Neutral-atom scattering factors, no anomalous dispersion.

```
ScAlN2
1.0
5.789 0.000 0.000
0.000 6.804 0.000
0.000 0.000 5.015
Sc Al N
4 4 8
Direct
0.093 0.124 0.000 Sc
0.407 0.624 0.500 Sc
0.593 0.376 0.000 Sc
0.907 0.876 0.500 Sc
0.076 0.626 0.017 Al
0.424 0.126 0.517 Al
0.576 0.874 0.017 Al
0.924 0.374 0.517 Al
0.060 0.610 0.396 N
0.099 0.141 0.431 N
0.401 0.641 0.931 N
0.440 0.110 0.896 N
0.560 0.890 0.396 N
0.599 0.359 0.431 N
0.901 0.859 0.931 N
0.940 0.390 0.896 N
```

Most intense lines, 15° ≤ 2θ ≤ 90°, by intensity:
| 2θ (°) | I_rel | hkl |
| --- | --- | --- |
| 35.82 | 100.0 | 0 0 2 |
| 35.45 | 69.8 | 1 2 1 |
| 30.48 | 69.5 | 1 2 0 |
| 54.68 | 39.6 | 3 2 0 |
| 67.11 | 30.9 | 3 2 2 |
| 30.89 | 30.5 | 2 0 0 |
| 66.41 | 29.2 | 0 4 2 |
| 47.72 | 26.7 | 1 2 2 |
| 64.13 | 25.0 | 1 2 3 |
| 53.90 | 21.3 | 0 4 0 |